# Na8MgCo2O8
Theoretical PXRD pattern, Cu Kα X-rays. Input: a PBE+U-relaxed structure.
No peak broadening, texture or thermal motion is included.

Crystal structure
```
data_Na8MgCo2O8
_chemical_formula_sum 'Na8 Mg1 Co2 O8'
_cell_length_a 5.739
_cell_length_b 5.805
_cell_length_c 8.787
_cell_angle_alpha 84.14
_cell_angle_beta 74.64
_cell_angle_gamma 69.89
_symmetry_space_group_name_H-M 'P 1'
_symmetry_Int_Tables_number 1
_symmetry_space_group_name_Hall 'P 1'
loop_
_atom_site_label
_atom_site_fract_x
_atom_site_fract_y
_atom_site_fract_z
Na1 0.000 0.000 0.000
Na2 0.017 0.434 0.781
Na3 0.162 0.474 0.402
Na4 0.309 0.977 0.218
Na5 0.426 0.547 0.739
Na6 0.588 0.981 0.800
Na7 0.765 0.907 0.369
Na8 0.857 0.511 0.111
Mg1 0.626 0.359 0.430
Co1 0.201 0.995 0.571
Co2 0.398 0.449 0.069
O1 0.041 0.869 0.749
O2 0.102 0.696 0.182
O3 0.260 0.259 0.982
O4 0.383 0.216 0.587
O5 0.478 0.710 0.467
O6 0.592 0.269 0.222
O7 0.614 0.589 0.927
O8 0.977 0.174 0.444
```

Main lines, by angle (10 to 90 degrees two-theta):
| d/Å | Rel. int. | index |
| --- | --- | --- |
| 5.224 | 86.5 | 1 0 0 |
| 4.609 | 100.0 | 0 1 1 |
| 4.559 | 44.4 | 0 1 -1 |
| 3.776 | 52.8 | 1 0 2 |
| 2.827 | 53.5 | 2 1 1 |
| 2.727 | 73.9 | 0 2 0 |
| 2.692 | 77.3 | 2 0 1 |
| 2.519 | 38.8 | 0 1 3 |
| 2.495 | 43.9 | 0 1 -3 |
| 2.422 | 80.3 | -1 1 2 |
| 2.363 | 73.6 | 2 2 1 |
| 2.312 | 71.5 | 1 -1 3 |

# Na6MgCo2O6
Theoretical PXRD pattern, Cu Kα X-rays. Input: a PBE+U-relaxed structure.
No peak broadening, texture or thermal motion is included.

Crystal structure
```
data_Na6MgCo2O6
_chemical_formula_sum 'Na6 Mg1 Co2 O6'
_cell_length_a 5.769
_cell_length_b 6.372
_cell_length_c 6.431
_cell_angle_alpha 116.81
_cell_angle_beta 91.64
_cell_angle_gamma 91.50
_symmetry_space_group_name_H-M 'P 1'
_symmetry_Int_Tables_number 1
_symmetry_space_group_name_Hall 'P 1'
loop_
_atom_site_label
_atom_site_fract_x
_atom_site_fract_y
_atom_site_fract_z
Na1 0.000 0.000 0.000
Na2 0.118 0.298 0.510
Na3 0.435 0.692 0.745
Na4 0.557 0.990 0.255
Na5 0.693 0.442 0.331
Na6 0.860 0.547 0.922
Mg1 0.778 0.992 0.627
Co1 0.174 0.769 0.415
Co2 0.381 0.220 0.837
O1 0.065 0.232 0.829
O2 0.490 0.757 0.425
O3 0.563 0.306 0.634
O4 0.605 0.075 0.952
O5 0.950 0.914 0.301
O6 0.991 0.685 0.620
```

Main lines, by angle (10 to 90 degrees two-theta):
| d/Å | Rel. int. | index |
| --- | --- | --- |
| 5.738 | 81.4 | 0 0 1 |
| 5.452 | 100.0 | 0 1 -1 |
| 3.960 | 60.4 | 1 1 -1 |
| 3.349 | 75.4 | 0 1 1 |
| 2.622 | 50.2 | 2 0 -1 |
| 2.593 | 44.3 | 1 -2 0 |
| 2.522 | 46.7 | 1 0 2 |
| 2.505 | 70.8 | 1 2 0 |
| 2.465 | 70.9 | 1 2 -2 |
| 2.183 | 51.2 | 0 2 1 |
| 2.161 | 42.6 | 2 -2 1 |
| 2.016 | 44.0 | 1 1 -3 |

# Na4MgCo2O6
Theoretical PXRD pattern, Cu Kα X-rays. Input: a PBE+U-relaxed structure.
No peak broadening, texture or thermal motion is included.

Crystal structure
```
data_Na4MgCo2O6
_chemical_formula_sum 'Na8 Mg2 Co4 O12'
_cell_length_a 11.700
_cell_length_b 6.186
_cell_length_c 5.881
_cell_angle_alpha 90.00
_cell_angle_beta 104.54
_cell_angle_gamma 90.00
_symmetry_space_group_name_H-M 'C 1 m 1'
_symmetry_Int_Tables_number 8
_symmetry_space_group_name_Hall 'C -2y'
loop_
_atom_site_label
_atom_site_fract_x
_atom_site_fract_y
_atom_site_fract_z
Na1 0.000 0.000 0.000
Na2 0.019 0.500 0.109
Na3 0.172 0.000 0.426
Na4 0.470 0.000 0.578
Mg1 0.243 0.500 0.904
Co1 0.230 0.000 0.931
Co2 0.416 0.500 0.453
O1 0.158 0.249 0.981
O2 0.339 0.000 0.783
O3 0.339 0.500 0.681
O4 0.475 0.276 0.333
```

Main lines, by angle (10 to 90 degrees two-theta):
| d/Å | Rel. int. | index |
| --- | --- | --- |
| 5.429 | 39.6 | 1 1 0 |
| 4.639 | 30.7 | 2 0 -1 |
| 3.589 | 100.0 | 2 0 1 |
| 3.222 | 37.8 | 3 1 0 |
| 3.093 | 62.3 | 0 2 0 |
| 2.846 | 39.4 | 0 0 2 |
| 2.832 | 33.4 | 4 0 0 |
| 2.404 | 22.8 | 1 1 2 |
| 2.320 | 22.6 | 4 0 -2 |
| 2.094 | 37.3 | 2 2 -2 |
| 2.089 | 43.8 | 4 2 -1 |
| 1.854 | 52.4 | 4 2 -2 |

# NaMgCoO2
Theoretical PXRD pattern, Cu Kα X-rays. Input: a PBE+U-relaxed structure.
No peak broadening, texture or thermal motion is included.

Crystal structure
```
data_NaMgCoO2
_chemical_formula_sum 'Na2 Mg2 Co2 O4'
_cell_length_a 5.796
_cell_length_b 3.324
_cell_length_c 7.149
_cell_angle_alpha 90.00
_cell_angle_beta 106.93
_cell_angle_gamma 90.00
_symmetry_space_group_name_H-M 'C 1 m 1'
_symmetry_Int_Tables_number 8
_symmetry_space_group_name_Hall 'C -2y'
loop_
_atom_site_label
_atom_site_fract_x
_atom_site_fract_y
_atom_site_fract_z
Na1 0.000 0.000 0.000
Mg1 0.117 0.000 0.386
Co1 0.056 0.500 0.691
O1 0.236 0.000 0.720
O2 0.245 0.500 0.276
```

Main lines, by angle (10 to 90 degrees two-theta):
| d/Å | Rel. int. | index |
| --- | --- | --- |
| 6.839 | 100.0 | 0 0 1 |
| 3.420 | 24.7 | 0 0 2 |
| 2.783 | 57.2 | 1 1 -1 |
| 2.772 | 31.9 | 2 0 0 |
| 2.502 | 33.0 | 1 1 1 |
| 2.371 | 50.6 | 1 1 -2 |
| 2.343 | 21.1 | 2 0 1 |
| 2.280 | 39.9 | 0 0 3 |
| 2.083 | 19.7 | 2 0 -3 |
| 2.044 | 37.4 | 1 1 2 |
| 1.670 | 38.7 | 3 1 -1 |
| 1.662 | 23.9 | 0 2 0 |

# Na4MgCo2O6
Theoretical PXRD pattern, Cu Kα X-rays. Input: a PBE+U-relaxed structure.
No peak broadening, texture or thermal motion is included.

Crystal structure
```
data_Na4MgCo2O6
_chemical_formula_sum 'Na4 Mg1 Co2 O6'
_cell_length_a 5.990
_cell_length_b 5.995
_cell_length_c 6.110
_cell_angle_alpha 92.03
_cell_angle_beta 114.90
_cell_angle_gamma 116.32
_symmetry_space_group_name_H-M 'P 1'
_symmetry_Int_Tables_number 1
_symmetry_space_group_name_Hall 'P 1'
loop_
_atom_site_label
_atom_site_fract_x
_atom_site_fract_y
_atom_site_fract_z
Na1 0.000 0.000 0.000
Na2 0.111 0.158 0.515
Na3 0.336 0.693 0.403
Na4 0.839 0.602 0.502
Mg1 0.677 0.286 0.811
Co1 0.389 0.625 0.900
Co2 0.578 0.101 0.200
O1 0.037 0.357 0.805
O2 0.351 0.940 0.828
O3 0.419 0.121 0.388
O4 0.589 0.578 0.759
O5 0.650 0.815 0.246
O6 0.881 0.363 0.202
```

Main lines, by angle (10 to 90 degrees two-theta):
| d/Å | Rel. int. | index |
| --- | --- | --- |
| 4.927 | 70.0 | 1 -1 0 |
| 4.899 | 100.0 | 1 0 -1 |
| 4.687 | 94.2 | 1 0 0 |
| 4.353 | 94.3 | 0 1 -1 |
| 3.234 | 69.0 | 1 -1 1 |
| 2.991 | 55.2 | 1 -2 0 |
| 2.712 | 76.3 | 2 -1 0 |
| 2.685 | 63.3 | 0 1 -2 |
| 2.639 | 68.6 | -1 1 2 |
| 2.602 | 67.9 | 1 1 -2 |
| 2.139 | 61.1 | 1 1 1 |
| 1.778 | 62.5 | 3 0 -2 |

# Na8MgCo2O8
Theoretical PXRD pattern, Cu Kα X-rays. Input: a PBE+U-relaxed structure.
No peak broadening, texture or thermal motion is included.

Crystal structure
```
data_Na8MgCo2O8
_chemical_formula_sum 'Na8 Mg1 Co2 O8'
_cell_length_a 5.771
_cell_length_b 5.776
_cell_length_c 8.935
_cell_angle_alpha 72.69
_cell_angle_beta 88.54
_cell_angle_gamma 70.92
_symmetry_space_group_name_H-M 'P 1'
_symmetry_Int_Tables_number 1
_symmetry_space_group_name_Hall 'P 1'
loop_
_atom_site_label
_atom_site_fract_x
_atom_site_fract_y
_atom_site_fract_z
Na1 0.000 0.000 0.000
Na2 0.003 0.471 0.129
Na3 0.017 0.621 0.784
Na4 0.449 0.778 0.583
Na5 0.500 0.516 0.966
Na6 0.509 0.925 0.161
Na7 0.513 0.286 0.360
Na8 0.852 0.109 0.642
Mg1 0.128 0.486 0.479
Co1 0.410 0.089 0.824
Co2 0.991 0.992 0.334
O1 0.124 0.187 0.411
O2 0.218 0.702 0.277
O3 0.227 0.896 0.789
O4 0.253 0.265 0.965
O5 0.430 0.344 0.628
O6 0.709 0.828 0.930
O7 0.756 0.184 0.176
O8 0.859 0.780 0.512
```

Main lines, by angle (10 to 90 degrees two-theta):
| d/Å | Rel. int. | index |
| --- | --- | --- |
| 5.196 | 75.6 | 0 1 0 |
| 4.756 | 71.4 | 1 0 -1 |
| 4.439 | 100.0 | 1 1 1 |
| 2.728 | 33.0 | 0 2 1 |
| 2.718 | 38.0 | 2 0 0 |
| 2.669 | 70.3 | 1 1 3 |
| 2.599 | 39.2 | 1 0 -3 |
| 2.447 | 78.0 | -1 1 3 |
| 2.346 | 44.8 | 2 2 1 |
| 2.328 | 62.0 | 1 -1 2 |
| 2.302 | 31.3 | 2 2 0 |
| 2.220 | 41.5 | 1 1 -3 |

# Na6MgCo2O6
Theoretical PXRD pattern, Cu Kα X-rays. Input: a PBE+U-relaxed structure.
No peak broadening, texture or thermal motion is included.

Crystal structure
```
data_Na6MgCo2O6
_chemical_formula_sum 'Na12 Mg2 Co4 O12'
_cell_length_a 9.946
_cell_length_b 8.623
_cell_length_c 5.059
_cell_angle_alpha 90.00
_cell_angle_beta 93.32
_cell_angle_gamma 90.00
_symmetry_space_group_name_H-M 'C 1 2 1'
_symmetry_Int_Tables_number 5
_symmetry_space_group_name_Hall 'C 2y'
loop_
_atom_site_label
_atom_site_fract_x
_atom_site_fract_y
_atom_site_fract_z
Na1 0.111 0.000 0.322
Na2 0.113 0.228 0.784
Na3 0.152 0.677 0.646
Mg1 0.000 0.790 0.000
Co1 0.188 0.453 0.220
O1 0.112 0.935 0.791
O2 0.126 0.260 0.279
O3 0.129 0.655 0.199
```

Main lines, by angle (10 to 90 degrees two-theta):
| d/Å | Rel. int. | index |
| --- | --- | --- |
| 4.066 | 100.0 | 1 1 -1 |
| 3.919 | 85.8 | 1 1 1 |
| 3.255 | 27.5 | 2 2 0 |
| 3.090 | 47.4 | 3 1 0 |
| 2.690 | 68.5 | 2 2 1 |
| 2.525 | 70.3 | 0 0 2 |
| 2.482 | 38.5 | 4 0 0 |
| 2.439 | 39.3 | 1 3 -1 |
| 2.385 | 34.4 | 1 1 -2 |
| 2.155 | 45.8 | 0 4 0 |
| 1.935 | 26.8 | 5 1 0 |
| 1.634 | 29.6 | 5 3 0 |

# NaMgCoO2
Theoretical PXRD pattern, Cu Kα X-rays. Input: a PBE+U-relaxed structure.
No peak broadening, texture or thermal motion is included.

Crystal structure
```
data_NaMgCoO2
_chemical_formula_sum 'Na2 Mg2 Co2 O4'
_cell_length_a 5.268
_cell_length_b 5.056
_cell_length_c 5.978
_cell_angle_alpha 90.00
_cell_angle_beta 92.03
_cell_angle_gamma 90.00
_symmetry_space_group_name_H-M 'C 1 2/m 1'
_symmetry_Int_Tables_number 12
_symmetry_space_group_name_Hall '-C 2y'
loop_
_atom_site_label
_atom_site_fract_x
_atom_site_fract_y
_atom_site_fract_z
Na1 0.000 0.000 0.000
Mg1 0.000 0.000 0.500
Co1 0.000 0.500 0.500
O1 0.215 0.500 0.278
```

Main lines, by angle (10 to 90 degrees two-theta):
| d/Å | Rel. int. | index |
| --- | --- | --- |
| 5.975 | 100.0 | 0 0 1 |
| 3.079 | 71.7 | 1 1 1 |
| 2.987 | 23.2 | 0 0 2 |
| 2.632 | 17.1 | 2 0 0 |
| 2.528 | 47.8 | 0 2 0 |
| 2.328 | 16.9 | 0 2 1 |
| 2.011 | 20.0 | 2 0 -2 |
| 1.941 | 20.2 | 2 0 2 |
| 1.930 | 13.6 | 0 2 2 |
| 1.823 | 11.7 | 2 2 0 |
| 1.574 | 16.6 | 2 2 -2 |
| 1.540 | 17.3 | 2 2 2 |